1.
Starting from the PBE geometry in Alexandria, the powder XRD pattern of Sm4Dy2Er5 was computed for Cu Kα, 1.54184 Å.

Peak list (10 most intense, 2θ = 10–80°, in order of rising 2θ)
two_theta  I/Imax  h k l
30.98  23  6 0 -1
31.19  14  5 1 -1
31.69  100  0 2 0
31.84  56  1 1 -2
44.95  17  6 2 -1
46.08  9  4 0 3
56.51  13  5 3 1
56.62  11  1 3 -2
57.04  10  4 2 3
62.20  8  11 1 -2

Structural model:
```
data_Sm4Dy2Er5
_chemical_formula_sum 'Sm8 Dy4 Er10'
_cell_length_a 19.0865
_cell_length_b 5.6361
_cell_length_c 6.5565
_cell_angle_alpha 90.00
_cell_angle_beta 91.29
_cell_angle_gamma 90.00
_space_group_name_H-M_alt 'C 1 2/m 1'
_space_group_IT_number 12
loop_
_space_group_symop_operation_xyz
'x,y,z'
'-x,-y,-z'
'-x,y,-z'
'x,-y,z'
'x+1/2,y+1/2,z'
'-x+1/2,-y+1/2,-z'
'-x+1/2,y+1/2,-z'
'x+1/2,-y+1/2,z'
loop_
_atom_site_label
_atom_site_fract_x
_atom_site_fract_y
_atom_site_fract_z
Sm1 0.0221 0.0000 0.2843
Sm2 0.1949 0.5000 0.0744
Dy1 0.0984 0.5000 0.5538
Er1 0.0000 0.5000 0.0000
Er2 0.1304 0.0000 0.8897
Er3 0.2089 0.0000 0.4010
```

2.
Starting from the PBE geometry in Alexandria, the powder XRD pattern of RbAg5Te4 was computed for Cu Kα, 1.54184 Å.

Peak list (10 most intense, 2θ = 10–80°, in order of rising 2θ)
two_theta  I/Imax  h k l
27.11  100  2 0 1
30.25  26  1 1 2
31.23  35  0 2 2
32.66  40  0 4 0
36.74  32  2 3 1
38.27  29  3 0 1
39.51  56  2 2 2
41.74  34  3 2 1
42.95  20  2 4 1
45.83  25  3 3 1

Structural model:
```
data_RbAg5Te4
_chemical_formula_sum 'Rb2 Ag10 Te8'
_cell_length_a 7.5437
_cell_length_b 10.9668
_cell_length_c 6.7180
_cell_angle_alpha 90.00
_cell_angle_beta 90.00
_cell_angle_gamma 90.00
_space_group_name_H-M_alt 'P m m n'
_space_group_IT_number 59
loop_
_space_group_symop_operation_xyz
'x,y,z'
'-x,-y,-z'
'-x+1/2,-y+1/2,z'
'x+1/2,y+1/2,-z'
'x+1/2,-y,-z'
'-x+1/2,y,z'
'-x,y+1/2,-z'
'x,-y+1/2,z'
loop_
_atom_site_label
_atom_site_fract_x
_atom_site_fract_y
_atom_site_fract_z
Rb1 0.2500 0.2500 0.0057
Ag1 0.0495 0.5240 0.2919
Ag2 0.2500 0.7500 0.2256
Te1 0.0477 0.2500 0.4944
Te2 0.2500 0.5642 0.9212
```

3.
Starting from the PBE geometry in Alexandria, the powder XRD pattern of TiBeH3 was computed for Cu Kα, 1.54184 Å.

Peak list (10 most intense, 2θ = 10–80°, in order of rising 2θ)
two_theta  I/Imax  h k l
12.56  100  0 0 1
23.09  11  0 1 1
26.23  21  0 1 -1
30.73  22  0 1 2
35.53  14  0 1 -2
38.31  9  0 0 3
39.28  28  1 -1 0
41.55  9  1 0 2
41.96  9  1 0 -2
43.21  17  0 2 1

Structural model:
```
data_TiBeH3
_chemical_formula_sum 'Ti2 Be2 H6'
_cell_length_a 2.7404
_cell_length_b 4.2354
_cell_length_c 7.1215
_cell_angle_alpha 81.82
_cell_angle_beta 89.44
_cell_angle_gamma 89.99
_space_group_name_H-M_alt 'P -1'
_space_group_IT_number 2
loop_
_space_group_symop_operation_xyz
'x,y,z'
'-x,-y,-z'
loop_
_atom_site_label
_atom_site_fract_x
_atom_site_fract_y
_atom_site_fract_z
Ti1 0.2467 0.2068 0.1383
Be1 0.2556 0.3218 0.7585
H1 0.2422 0.5148 0.3258
H2 0.2519 0.5081 0.9171
H3 0.2576 0.0004 0.6915
```

4.
Starting from the PBE geometry in Alexandria, the powder XRD pattern of ScCdCl2 was computed for Cu Kα, 1.54184 Å.

Peak list (10 most intense, 2θ = 10–80°, in order of rising 2θ)
two_theta  I/Imax  h k l
19.19  88  0 1 1
27.54  80  0 1 3
28.85  100  1 0 2
31.87  49  1 1 1
36.22  45  0 2 0
37.67  74  1 1 3
37.88  32  1 0 4
42.26  24  0 0 6
46.95  48  1 2 2
53.42  22  1 2 4

Structural model:
```
data_ScCdCl2
_chemical_formula_sum 'Sc2 Cd2 Cl4'
_cell_length_a 3.5335
_cell_length_b 4.9598
_cell_length_c 12.8313
_cell_angle_alpha 90.00
_cell_angle_beta 90.00
_cell_angle_gamma 90.00
_space_group_name_H-M_alt 'A m m 2'
_space_group_IT_number 38
loop_
_space_group_symop_operation_xyz
'x,y,z'
'-x,-y,z'
'-x,y,z'
'x,-y,z'
'x,y+1/2,z+1/2'
'-x,-y+1/2,z+1/2'
'-x,y+1/2,z+1/2'
'x,-y+1/2,z+1/2'
loop_
_atom_site_label
_atom_site_fract_x
_atom_site_fract_y
_atom_site_fract_z
Sc1 0.0000 0.0000 0.0000
Cd1 0.5000 0.0000 0.1936
Cl1 0.0000 0.0000 0.5251
Cl2 0.5000 0.0000 0.8565
```

5.
Starting from the PBE geometry in Alexandria, the powder XRD pattern of LaTb4Nd2Er was computed for Cu Kα, 1.54184 Å.

Peak list (10 most intense, 2θ = 10–80°, in order of rising 2θ)
two_theta  I/Imax  h k l
30.33  100  1 1 2
35.04  17  0 2 0
35.23  34  2 0 0
50.53  24  2 2 0
50.67  12  2 0 4
59.96  14  1 3 2
60.15  14  3 1 2
60.26  14  1 1 6
63.09  12  2 2 4
74.03  2  0 4 0

Structural model:
```
data_LaTb4Nd2Er
_chemical_formula_sum 'La1 Tb4 Nd2 Er1'
_cell_length_a 5.1017
_cell_length_b 5.1220
_cell_length_c 10.1788
_cell_angle_alpha 90.00
_cell_angle_beta 90.00
_cell_angle_gamma 90.00
_space_group_name_H-M_alt 'P m m m'
_space_group_IT_number 47
loop_
_space_group_symop_operation_xyz
'x,y,z'
'-x,-y,-z'
'-x,-y,z'
'x,y,-z'
'x,-y,-z'
'-x,y,z'
'-x,y,-z'
'x,-y,z'
loop_
_atom_site_label
_atom_site_fract_x
_atom_site_fract_y
_atom_site_fract_z
La1 0.0000 0.0000 0.0000
Tb1 0.0000 0.5000 0.2544
Tb2 0.5000 0.0000 0.2541
Nd1 0.0000 0.0000 0.5000
Nd2 0.5000 0.5000 0.0000
Er1 0.5000 0.5000 0.5000
```

6.
Starting from the PBE geometry in Alexandria, the powder XRD pattern of Pu3P2H4Pd2 was computed for Cu Kα, 1.54184 Å.

Peak list (10 most intense, 2θ = 10–80°, in order of rising 2θ)
two_theta  I/Imax  h k l
23.25  25  1 0 1
26.13  23  0 0 6
31.71  91  1 0 5
32.51  100  1 1 0
38.51  46  1 0 7
42.17  29  1 1 6
46.64  38  2 0 0
57.50  35  2 1 5
62.02  23  2 1 7
64.25  18  1 1 12

Structural model:
```
data_Pu3P2H4Pd2
_chemical_formula_sum 'Pu6 P4 H8 Pd4'
_cell_length_a 3.8952
_cell_length_b 3.8952
_cell_length_c 20.4606
_cell_angle_alpha 90.00
_cell_angle_beta 90.00
_cell_angle_gamma 90.00
_space_group_name_H-M_alt 'I 4/m m m'
_space_group_IT_number 139
_space_group_name_Hall '-I 4 2'
loop_
_atom_site_label
_atom_site_fract_x
_atom_site_fract_y
_atom_site_fract_z
Pu1 0.0000 0.0000 0.0000
Pu2 0.0000 0.0000 0.1738
P1 0.0000 0.0000 0.3069
H1 0.0000 0.5000 0.0759
Pd1 0.0000 0.0000 0.4268
```

7.
Starting from the PBE geometry in Alexandria, the powder XRD pattern of Th2Pd6Pb was computed for Cu Kα, 1.54184 Å.

Peak list (10 most intense, 2θ = 10–80°, in order of rising 2θ)
two_theta  I/Imax  h k l
22.31  41  1 3 0
27.91  83  1 1 1
36.56  100  2 2 1
38.39  44  0 6 0
40.66  74  3 3 0
42.30  52  1 5 1
43.02  34  2 4 1
50.04  26  0 0 2
63.71  22  2 8 1
66.38  36  3 3 2

Structural model:
```
data_Th2Pd6Pb
_chemical_formula_sum 'Th4 Pd12 Pb2'
_cell_length_a 7.5557
_cell_length_b 14.0682
_cell_length_c 3.6453
_cell_angle_alpha 90.00
_cell_angle_beta 90.00
_cell_angle_gamma 90.00
_space_group_name_H-M_alt 'C m m m'
_space_group_IT_number 65
_space_group_name_Hall '-C 2 2'
loop_
_atom_site_label
_atom_site_fract_x
_atom_site_fract_y
_atom_site_fract_z
Th1 0.0000 0.1865 0.0000
Pd1 0.1923 0.0000 0.0000
Pd2 0.1995 0.3408 0.5000
Pb1 0.0000 0.5000 0.5000
```

8.
Starting from the PBE geometry in Alexandria, the powder XRD pattern of La2Al3CdAg4 was computed for Cu Kα, 1.54184 Å.

Peak list (10 most intense, 2θ = 10–80°, in order of rising 2θ)
two_theta  I/Imax  h k l
25.54  17  1 0 2
31.45  39  1 0 3
32.44  100  1 1 2
39.94  50  2 0 0
43.46  11  1 1 4
45.93  22  1 0 5
51.70  19  2 1 3
57.77  16  2 2 0
62.47  17  2 1 5
67.84  26  3 1 2

Structural model:
```
data_La2Al3CdAg4
_chemical_formula_sum 'La2 Al3 Cd1 Ag4'
_cell_length_a 4.5142
_cell_length_b 4.5142
_cell_length_c 10.9891
_cell_angle_alpha 90.00
_cell_angle_beta 90.00
_cell_angle_gamma 90.00
_space_group_name_H-M_alt 'P -4 m 2'
_space_group_IT_number 115
loop_
_space_group_symop_operation_xyz
'x,y,z'
'y,-x,-z'
'-x,-y,z'
'-y,x,-z'
'-x,y,z'
'-y,-x,-z'
'x,-y,z'
'y,x,-z'
loop_
_atom_site_label
_atom_site_fract_x
_atom_site_fract_y
_atom_site_fract_z
La1 0.0000 0.5000 0.2428
Al1 0.0000 0.5000 0.8741
Al2 0.5000 0.5000 0.5000
Cd1 0.0000 0.0000 0.5000
Ag1 0.0000 0.0000 0.0000
Ag2 0.0000 0.5000 0.6428
Ag3 0.5000 0.5000 0.0000
```

9.
Starting from the PBE geometry in Alexandria, the powder XRD pattern of Er5Ge6 was computed for Cu Kα, 1.54184 Å.

Peak list (10 most intense, 2θ = 10–80°, in order of rising 2θ)
two_theta  I/Imax  h k l
27.20  23  1 5 0
30.78  23  0 10 0
32.41  100  1 3 1
32.64  36  0 8 1
38.01  18  1 7 1
41.04  17  1 11 0
42.03  27  1 9 1
43.19  26  0 0 2
45.69  21  2 0 0
51.78  22  1 13 1

Structural model:
```
data_Er5Ge6
_chemical_formula_sum 'Er10 Ge12'
_cell_length_a 3.9713
_cell_length_b 29.0508
_cell_length_c 4.1888
_cell_angle_alpha 90.00
_cell_angle_beta 90.00
_cell_angle_gamma 90.00
_space_group_name_H-M_alt 'C m m m'
_space_group_IT_number 65
_space_group_name_Hall '-C 2 2'
loop_
_atom_site_label
_atom_site_fract_x
_atom_site_fract_y
_atom_site_fract_z
Er1 0.0000 0.0000 0.0000
Er2 0.0000 0.1999 0.5000
Er3 0.0000 0.3847 0.0000
Ge1 0.0000 0.1018 0.5000
Ge2 0.0000 0.2820 0.0000
Ge3 0.0000 0.4577 0.5000
```

10.
Starting from the PBE geometry in Alexandria, the powder XRD pattern of Pa5Sb5Te2 was computed for Cu Kα, 1.54184 Å.

Peak list (10 most intense, 2θ = 10–80°, in order of rising 2θ)
two_theta  I/Imax  h k l
21.54  52  2 0 -3
21.64  57  2 0 2
28.65  92  3 1 -1
29.11  38  3 1 0
29.91  89  3 1 -2
31.21  80  3 1 1
34.43  43  1 1 -4
37.33  85  1 1 4
42.82  100  0 2 0
62.14  36  6 2 -4

Structural model:
```
data_Pa5Sb5Te2
_chemical_formula_sum 'Pa10 Sb10 Te4'
_cell_length_a 13.9066
_cell_length_b 4.2199
_cell_length_c 13.2502
_cell_angle_alpha 90.00
_cell_angle_beta 105.49
_cell_angle_gamma 90.00
_space_group_name_H-M_alt 'C 1 2/m 1'
_space_group_IT_number 12
loop_
_space_group_symop_operation_xyz
'x,y,z'
'-x,-y,-z'
'-x,y,-z'
'x,-y,z'
'x+1/2,y+1/2,z'
'-x+1/2,-y+1/2,-z'
'-x+1/2,y+1/2,-z'
'x+1/2,-y+1/2,z'
loop_
_atom_site_label
_atom_site_fract_x
_atom_site_fract_y
_atom_site_fract_z
Pa1 0.0000 0.0000 0.0000
Pa2 0.1353 0.0000 0.4394
Pa3 0.1941 0.5000 0.8059
Sb1 0.0000 0.5000 0.5000
Sb2 0.1653 0.5000 0.0517
Sb3 0.2306 0.5000 0.3280
Te1 0.0230 0.0000 0.7791
```

11.
Starting from the PBE geometry in Alexandria, the powder XRD pattern of CsAsI3 was computed for Cu Kα, 1.54184 Å.

Peak list (10 most intense, 2θ = 10–80°, in order of rising 2θ)
two_theta  I/Imax  h k l
22.91  47  1 0 -2
23.83  52  1 0 2
24.04  28  0 2 0
24.27  100  2 0 0
26.26  40  0 2 -2
26.64  52  1 -2 0
27.33  25  1 2 0
28.79  29  0 2 1
28.99  41  1 -2 2
33.86  25  2 -2 0

Structural model:
```
data_CsAsI3
_chemical_formula_sum 'Cs2 As2 I6'
_cell_length_a 7.3417
_cell_length_b 7.7674
_cell_length_c 9.3471
_cell_angle_alpha 107.51
_cell_angle_beta 92.04
_cell_angle_gamma 91.12
_space_group_name_H-M_alt 'P 1'
_space_group_IT_number 1
loop_
_space_group_symop_operation_xyz
'x,y,z'
loop_
_atom_site_label
_atom_site_fract_x
_atom_site_fract_y
_atom_site_fract_z
Cs1 0.0000 0.0000 0.0000
Cs2 0.4727 0.4381 0.8005
As1 0.3020 0.7008 0.4256
As2 0.9646 0.6454 0.3587
I1 0.4026 0.3638 0.3284
I2 0.4200 0.8200 0.2070
I3 0.4936 0.9635 0.8628
I4 0.9519 0.0037 0.4541
I5 0.9617 0.5093 0.0301
I6 0.9794 0.5588 0.6314
```

12.
Starting from the PBE geometry in Alexandria, the powder XRD pattern of NaBe3H6 was computed for Cu Kα, 1.54184 Å.

Peak list (10 most intense, 2θ = 10–80°, in order of rising 2θ)
two_theta  I/Imax  h k l
17.71  20  1 1 0
23.80  41  0 2 0
24.59  24  0 0 2
26.42  100  2 0 0
30.47  74  1 1 2
34.49  84  0 2 2
35.85  34  2 2 0
38.50  36  1 3 0
43.96  70  2 2 2
62.30  24  2 4 2

Structural model:
```
data_NaBe3H6
_chemical_formula_sum 'Na4 Be12 H24'
_cell_length_a 6.7463
_cell_length_b 7.4788
_cell_length_c 7.2393
_cell_angle_alpha 90.00
_cell_angle_beta 90.00
_cell_angle_gamma 90.00
_space_group_name_H-M_alt 'I b a m'
_space_group_IT_number 72
_space_group_name_Hall '-I 2 2c'
loop_
_atom_site_label
_atom_site_fract_x
_atom_site_fract_y
_atom_site_fract_z
Na1 0.0000 0.0000 0.2500
Be1 0.0000 0.5000 0.2500
Be2 0.0673 0.3375 0.0000
H1 0.0318 0.1752 0.5000
H2 0.1531 0.3757 0.1767
```